Computed powder XRD pattern of LiAlGe for Cu Ka, from the GGA-PBE geometry in the Materials Project.
Lines closer than 0.1° are merged.

Largest 10 diffraction maxima, sorted by position, 2θ = 10–90°:
2θ (°)  I (rel.)  (hkl)
25.63  100  1 1 1
29.68  15  2 0 0
42.48  72  2 2 0
50.28  46  3 1 1
52.68  4  2 2 2
61.64  12  4 0 0
67.87  18  3 3 1
69.89  5  4 2 0
77.73  23  4 2 2
83.44  14  5 1 1

Cell and atoms:
```
data_LiAlGe
_chemical_formula_sum 'Li4 Al4 Ge4'
_space_group_name_H-M_alt 'F -4 3 m'
_space_group_IT_number 216
_space_group_name_Hall 'F -4 2 3'
_cell_length_a 6.019
_cell_length_b 6.019
_cell_length_c 6.019
_cell_angle_alpha 90.00
_cell_angle_beta 90.00
_cell_angle_gamma 90.00
loop_
_atom_site_label
_atom_site_fract_x
_atom_site_fract_y
_atom_site_fract_z
Li1 0.000 0.000 0.000
Al1 0.000 0.000 0.500
Ge1 0.250 0.250 0.750
```

=====

Computed powder XRD pattern of KLaGdSbO6 for Cu Ka, from the GGA-PBE geometry in the Materials Project.
Lines closer than 0.1° are merged.

Largest 12 diffraction maxima, sorted by position, 2θ = 10–90°:
2θ (°)  I (rel.)  (hkl)
18.23  12  1 1 1
21.08  12  2 0 0
29.98  100  2 2 0
35.31  8  3 1 1
42.91  31  4 0 0
46.98  4  3 3 1
48.28  5  4 2 0
53.23  40  4 2 2
62.30  19  4 4 0
70.67  18  6 2 0
78.62  6  4 4 4
86.36  21  6 4 2

Cell and atoms:
```
data_KLaGdSbO6
_chemical_formula_sum 'K4 La4 Gd4 Sb4 O24'
_space_group_name_H-M_alt 'F -4 3 m'
_space_group_IT_number 216
_space_group_name_Hall 'F -4 2 3'
_cell_length_a 8.431
_cell_length_b 8.431
_cell_length_c 8.431
_cell_angle_alpha 90.00
_cell_angle_beta 90.00
_cell_angle_gamma 90.00
loop_
_atom_site_label
_atom_site_fract_x
_atom_site_fract_y
_atom_site_fract_z
K1 0.000 0.000 0.000
La1 0.000 0.000 0.500
Gd1 0.250 0.250 0.750
Sb1 0.250 0.250 0.250
O1 0.014 0.250 0.250
```

=====

Computed powder XRD pattern of Er3Pb for Cu Ka, from the GGA-PBE geometry in the Materials Project.
Lines closer than 0.1° are merged.

Largest 12 diffraction maxima, sorted by position, 2θ = 10–90°:
2θ (°)  I (rel.)  (hkl)
30.20  23  2 0 0
31.86  27  0 0 2
34.24  100  2 0 1
44.47  16  2 0 2
53.63  19  2 2 0
58.31  22  2 0 3
63.75  22  2 2 2
65.19  16  4 0 1
72.15  4  4 0 2
74.83  4  2 0 4
83.21  8  4 0 3
89.28  14  4 2 1

Cell and atoms:
```
data_Er3Pb
_chemical_formula_sum 'Er6 Pb2'
_space_group_name_H-M_alt 'P 63/m m c'
_space_group_IT_number 194
_space_group_name_Hall '-P 6c 2c'
_cell_length_a 6.8352
_cell_length_b 6.8352
_cell_length_c 5.6177
_cell_angle_alpha 90.00
_cell_angle_beta 90.00
_cell_angle_gamma 120.00
loop_
_atom_site_label
_atom_site_fract_x
_atom_site_fract_y
_atom_site_fract_z
Er1 0.1682 0.3363 0.2500
Pb1 0.3333 0.6667 0.7500
```

=====

Computed powder XRD pattern of FeBi4S7 for Cu Ka, from the GGA-PBE geometry in the Materials Project.
Lines closer than 0.1° are merged.

Largest 12 diffraction maxima, sorted by position, 2θ = 10–90°:
2θ (°)  I (rel.)  (hkl)
18.35  43  2 0 -2
23.80  97  2 0 2
24.07  51  2 0 -3
25.76  100  1 1 1
28.44  33  4 0 -1
31.42  62  3 1 -1
32.93  76  3 1 -2
34.14  31  3 1 1
38.01  55  1 1 -4
43.06  25  3 1 3
46.56  30  0 2 0
48.46  32  5 1 -4

Cell and atoms:
```
data_FeBi4S7
_chemical_formula_sum 'Fe2 Bi8 S14'
_space_group_name_H-M_alt 'C 1 2/m 1'
_space_group_IT_number 12
_cell_length_a 12.556
_cell_length_b 3.902
_cell_length_c 11.921
_cell_angle_alpha 90.00
_cell_angle_beta 104.59
_cell_angle_gamma 90.00
loop_
_space_group_symop_operation_xyz
'x,y,z'
'-x,-y,-z'
'-x,y,-z'
'x,-y,z'
'x+1/2,y+1/2,z'
'-x+1/2,-y+1/2,-z'
'-x+1/2,y+1/2,-z'
'x+1/2,-y+1/2,z'
loop_
_atom_site_label
_atom_site_fract_x
_atom_site_fract_y
_atom_site_fract_z
Fe1 0.000 0.000 0.000
Bi1 0.119 0.000 0.417
Bi2 0.182 0.500 0.837
S1 0.000 0.500 0.500
S2 0.029 0.000 0.820
S3 0.125 0.500 0.039
S4 0.249 0.500 0.357
```

=====

Computed powder XRD pattern of Mg2Sn for Cu Ka, from the GGA-PBE geometry in the Materials Project.
Lines closer than 0.1° are merged.

Largest 12 diffraction maxima, sorted by position, 2θ = 10–90°:
2θ (°)  I (rel.)  (hkl)
18.14  51  2 0 0
18.93  20  1 1 0
24.95  78  1 1 1
32.17  18  3 1 0
32.55  42  0 0 2
36.17  100  3 1 1
37.45  56  0 2 1
41.89  17  2 2 1
46.42  13  3 1 2
59.11  15  3 3 0
60.46  23  3 1 3
69.13  19  3 3 2

Cell and atoms:
```
data_Mg2Sn
_chemical_formula_sum 'Mg8 Sn4'
_space_group_name_H-M_alt 'C m c m'
_space_group_IT_number 63
_space_group_name_Hall '-C 2c 2'
_cell_length_a 9.780
_cell_length_b 5.343
_cell_length_c 5.501
_cell_angle_alpha 90.00
_cell_angle_beta 90.00
_cell_angle_gamma 90.00
loop_
_atom_site_label
_atom_site_fract_x
_atom_site_fract_y
_atom_site_fract_z
Mg1 0.167 0.174 0.250
Sn1 0.000 0.326 0.750
```

=====

Computed powder XRD pattern of U2Ru for Cu Ka, from the GGA-PBE geometry in the Materials Project.
Lines closer than 0.1° are merged.

Largest 12 diffraction maxima, sorted by position, 2θ = 10–90°:
2θ (°)  I (rel.)  (hkl)
11.49  12  2 0 0
34.96  57  6 0 0
36.97  100  3 1 -1
37.60  96  3 1 1
46.85  26  0 2 0
47.23  26  0 0 2
59.22  13  6 0 -2
59.77  25  6 2 0
63.60  20  9 1 -1
64.87  19  9 1 1
68.72  18  0 2 2
78.72  12  6 2 -2

Cell and atoms:
```
data_U2Ru
_chemical_formula_sum 'U8 Ru4'
_space_group_name_H-M_alt 'C 1 2/m 1'
_space_group_IT_number 12
_cell_length_a 15.404
_cell_length_b 3.878
_cell_length_c 3.850
_cell_angle_alpha 90.00
_cell_angle_beta 91.58
_cell_angle_gamma 90.00
loop_
_space_group_symop_operation_xyz
'x,y,z'
'-x,-y,-z'
'-x,y,-z'
'x,-y,z'
'x+1/2,y+1/2,z'
'-x+1/2,-y+1/2,-z'
'-x+1/2,y+1/2,-z'
'x+1/2,-y+1/2,z'
loop_
_atom_site_label
_atom_site_fract_x
_atom_site_fract_y
_atom_site_fract_z
U1 0.000 0.000 0.000
U2 0.000 0.500 0.500
U3 0.160 0.000 0.499
Ru1 0.171 0.500 0.996
```